Record 1
The following is a computed powder diffractogram of Li3MnSiBO7. It was derived from a structure optimized by DFT (PBE+U), using Cu Kα, 1.54184 Å.

Cell and atoms:
```
data_Li3MnSiBO7
_chemical_formula_sum 'Li6 Mn2 Si2 B2 O14'
_cell_length_a 5.0786
_cell_length_b 6.2795
_cell_length_c 8.3388
_cell_angle_alpha 90.00
_cell_angle_beta 95.61
_cell_angle_gamma 90.00
_symmetry_space_group_name_H-M 'P 1 21/m 1'
_symmetry_Int_Tables_number 11
loop_
_symmetry_equiv_pos_as_xyz
'x,y,z'
'-x,-y,-z'
'-x,y+1/2,-z'
'x,-y+1/2,z'
loop_
_atom_site_label
_atom_site_type_symbol
_atom_site_fract_x
_atom_site_fract_y
_atom_site_fract_z
Li1 Li 0.2416 0.2500 0.1040
Li2 Li 0.2509 0.0003 0.7523
Mn1 Mn 0.2039 0.7500 0.3191
Si1 Si 0.2735 0.2500 0.4284
B1 B 0.2891 0.7500 0.0398
O1 O 0.0334 0.7500 0.0896
O2 O 0.1341 0.2500 0.5958
O3 O 0.1805 0.0541 0.3036
O4 O 0.3576 0.7500 0.8883
O5 O 0.4032 0.7500 0.5256
O6 O 0.4784 0.7500 0.1754
```

The 10 most intense peaks (10° ≤ 2θ ≤ 90°), low angle first:
Position (°2θ)  I/Imax
10.66  886
17.71  658
19.65  507
21.46  647
25.77  281
26.42  422
28.43  1000
35.49  295
36.13  255
41.29  207

***

Record 2
The following is a computed powder diffractogram of Mn5In3O12. It was derived from a structure optimized by DFT (PBE+U), using Cu Kα, 1.54184 Å.

Cell and atoms:
```
data_Mn5In3O12
_chemical_formula_sum 'Mn5 In3 O12'
_cell_length_a 5.2106
_cell_length_b 5.4041
_cell_length_c 7.9389
_cell_angle_alpha 89.68
_cell_angle_beta 88.19
_cell_angle_gamma 89.49
_symmetry_space_group_name_H-M 'P 1'
_symmetry_Int_Tables_number 1
loop_
_symmetry_equiv_pos_as_xyz
'x,y,z'
loop_
_atom_site_label
_atom_site_type_symbol
_atom_site_fract_x
_atom_site_fract_y
_atom_site_fract_z
Mn1 Mn 0.0000 0.0000 0.0000
Mn2 Mn 0.0014 0.9988 0.5076
Mn3 Mn 0.0172 0.4462 0.7685
Mn4 Mn 0.4967 0.4984 0.0013
Mn5 Mn 0.4987 0.4998 0.5092
In1 In 0.4798 0.9412 0.7438
In2 In 0.5207 0.0593 0.2666
In3 In 0.9768 0.5575 0.2396
O1 O 0.1272 0.9341 0.2729
O2 O 0.1851 0.6902 0.9494
O3 O 0.1954 0.6997 0.5896
O4 O 0.3019 0.1903 0.9249
O5 O 0.3131 0.1903 0.5555
O6 O 0.3709 0.4360 0.2375
O7 O 0.6258 0.5640 0.7719
O8 O 0.6941 0.8012 0.4483
O9 O 0.7000 0.8035 0.0868
O10 O 0.8015 0.2990 0.4221
O11 O 0.8039 0.3005 0.0628
O12 O 0.8725 0.0672 0.7371
```

The 10 most intense peaks (10° ≤ 2θ ≤ 90°), low angle first:
Position (°2θ)  I/Imax
32.34  626
32.62  640
33.20  1000
33.26  575
34.44  469
45.74  324
48.32  279
48.78  228
57.50  242
59.47  161

***

Record 3
The following is a computed powder diffractogram of Li2Mn4O7F. It was derived from a structure optimized by DFT (PBE+U), using Cu Kα, 1.54184 Å.

Cell and atoms:
```
data_Li2Mn4O7F
_chemical_formula_sum 'Li4 Mn8 O14 F2'
_cell_length_a 10.1213
_cell_length_b 6.1051
_cell_length_c 5.9742
_cell_angle_alpha 90.00
_cell_angle_beta 125.43
_cell_angle_gamma 90.00
_symmetry_space_group_name_H-M 'C 1 m 1'
_symmetry_Int_Tables_number 8
loop_
_symmetry_equiv_pos_as_xyz
'x,y,z'
'x,-y,z'
'x+1/2,y+1/2,z'
'x+1/2,-y+1/2,z'
loop_
_atom_site_label
_atom_site_type_symbol
_atom_site_fract_x
_atom_site_fract_y
_atom_site_fract_z
Li1 Li 0.0000 0.0000 0.0000
Li2 Li 0.1147 0.5000 0.8637
Mn1 Mn 0.1168 0.5000 0.3571
Mn2 Mn 0.2298 0.0000 0.7237
Mn3 Mn 0.3636 0.2442 0.3710
O1 O 0.0974 0.2750 0.5771
O2 O 0.1341 0.2761 0.1493
O3 O 0.3569 0.5000 0.5756
O4 O 0.3681 0.0000 0.5896
O5 O 0.3756 0.0000 0.1418
F1 F 0.3627 0.5000 0.1231
```

The 10 most intense peaks (10° ≤ 2θ ≤ 90°), low angle first:
Position (°2θ)  I/Imax
18.22  1000
20.80  281
29.97  482
34.81  624
35.81  229
36.14  287
42.34  471
56.16  239
62.32  262
62.96  274

***

Record 4
The following is a computed powder diffractogram of MnP5O15. It was derived from a structure optimized by DFT (PBE+U), using Cu Kα, 1.54184 Å.

Cell and atoms:
```
data_MnP5O15
_chemical_formula_sum 'Mn2 P10 O30'
_cell_length_a 5.0399
_cell_length_b 13.6938
_cell_length_c 9.0602
_cell_angle_alpha 90.00
_cell_angle_beta 101.72
_cell_angle_gamma 90.00
_symmetry_space_group_name_H-M 'P 1 21/m 1'
_symmetry_Int_Tables_number 11
loop_
_symmetry_equiv_pos_as_xyz
'x,y,z'
'-x,-y,-z'
'-x,y+1/2,-z'
'x,-y+1/2,z'
loop_
_atom_site_label
_atom_site_type_symbol
_atom_site_fract_x
_atom_site_fract_y
_atom_site_fract_z
Mn1 Mn 0.0000 0.0000 0.0000
P1 P 0.0485 0.2500 0.4939
P2 P 0.1445 0.5770 0.6873
P3 P 0.4924 0.6415 0.9757
O1 O 0.0009 0.0170 0.2103
O2 O 0.0715 0.1611 0.3816
O3 O 0.2043 0.1223 0.9958
O4 O 0.2106 0.7500 0.4465
O5 O 0.2775 0.2500 0.6309
O6 O 0.2780 0.5264 0.5804
O7 O 0.3346 0.5738 0.0593
O8 O 0.3678 0.6464 0.8022
O9 O 0.4576 0.7500 0.0343
```

The 10 most intense peaks (10° ≤ 2θ ≤ 90°), low angle first:
Position (°2θ)  I/Imax
11.89  751
16.35  621
18.72  1000
20.02  714
21.90  512
22.21  342
22.82  403
25.88  700
30.22  297
31.81  318

***

Record 5
The following is a computed powder diffractogram of Li4Cr3Cu3Te2O16. It was derived from a structure optimized by DFT (PBE+U), using Cu Kα, 1.54184 Å.

Cell and atoms:
```
data_Li4Cr3Cu3Te2O16
_chemical_formula_sum 'Li8 Cr6 Cu6 Te4 O32'
_cell_length_a 10.3983
_cell_length_b 5.8793
_cell_length_c 9.7665
_cell_angle_alpha 90.00
_cell_angle_beta 93.21
_cell_angle_gamma 90.00
_symmetry_space_group_name_H-M 'C 1 m 1'
_symmetry_Int_Tables_number 8
loop_
_symmetry_equiv_pos_as_xyz
'x,y,z'
'x,-y,z'
'x+1/2,y+1/2,z'
'x+1/2,-y+1/2,z'
loop_
_atom_site_label
_atom_site_type_symbol
_atom_site_fract_x
_atom_site_fract_y
_atom_site_fract_z
Li1 Li 0.0000 0.0000 0.0000
Li2 Li 0.0060 0.0000 0.5073
Li3 Li 0.1621 0.5000 0.9340
Li4 Li 0.3400 0.0000 0.4342
Cr1 Cr 0.0905 0.2541 0.2328
Cr2 Cr 0.1766 0.0000 0.7345
Cu1 Cu 0.3358 0.5000 0.2313
Cu2 Cu 0.4215 0.2456 0.7297
Te1 Te 0.1778 0.5000 0.5029
Te2 Te 0.3325 0.0000 0.0046
O1 O 0.0063 0.0000 0.3202
O2 O 0.0059 0.0000 0.8118
O3 O 0.0253 0.5000 0.3620
O4 O 0.1007 0.2569 0.6051
O5 O 0.1690 0.5000 0.1343
O6 O 0.1735 0.0000 0.1192
O7 O 0.2426 0.2725 0.3713
O8 O 0.2460 0.2198 0.8806
O9 O 0.3374 0.0000 0.6397
O10 O 0.3446 0.5000 0.6054
O11 O 0.4207 0.2461 0.1082
O12 O 0.4751 0.0000 0.8744
```

The 10 most intense peaks (10° ≤ 2θ ≤ 90°), low angle first:
Position (°2θ)  I/Imax
18.91  264
19.37  658
19.82  1000
24.88  206
32.22  253
33.06  227
34.50  384
35.66  283
36.05  496
62.26  300

***

Record 6
The following is a computed powder diffractogram of Li4Ti3Ni3Te2O16. It was derived from a structure optimized by DFT (PBE+U), using Cu Kα, 1.54184 Å.

Cell and atoms:
```
data_Li4Ti3Ni3Te2O16
_chemical_formula_sum 'Li8 Ti6 Ni6 Te4 O32'
_cell_length_a 10.3277
_cell_length_b 5.9837
_cell_length_c 10.0538
_cell_angle_alpha 90.00
_cell_angle_beta 90.42
_cell_angle_gamma 90.00
_symmetry_space_group_name_H-M 'C 1 m 1'
_symmetry_Int_Tables_number 8
loop_
_symmetry_equiv_pos_as_xyz
'x,y,z'
'x,-y,z'
'x+1/2,y+1/2,z'
'x+1/2,-y+1/2,z'
loop_
_atom_site_label
_atom_site_type_symbol
_atom_site_fract_x
_atom_site_fract_y
_atom_site_fract_z
Li1 Li 0.0000 0.0000 0.0000
Li2 Li 0.0062 0.0000 0.4926
Li3 Li 0.1721 0.5000 0.9128
Li4 Li 0.3410 0.0000 0.4183
Ti1 Ti 0.3307 0.5000 0.2332
Ti2 Ti 0.4107 0.2392 0.7276
Ni1 Ni 0.0890 0.2573 0.2296
Ni2 Ni 0.1750 0.0000 0.7109
Te1 Te 0.1663 0.5000 0.4944
Te2 Te 0.3291 0.0000 0.0197
O1 O 0.0014 0.0000 0.8026
O2 O 0.0246 0.5000 0.3645
O3 O 0.0887 0.2540 0.5933
O4 O 0.1628 0.0000 0.1061
O5 O 0.1820 0.5000 0.1200
O6 O 0.2492 0.2851 0.3661
O7 O 0.2687 0.2462 0.8316
O8 O 0.3347 0.5000 0.5971
O9 O 0.3481 0.0000 0.6128
O10 O 0.4108 0.2511 0.1214
O11 O 0.4929 0.0000 0.8256
O12 O 0.4970 0.5000 0.3122
```

The 10 most intense peaks (10° ≤ 2θ ≤ 90°), low angle first:
Position (°2θ)  I/Imax
19.28  1000
19.38  182
24.75  263
31.75  298
31.90  241
34.88  416
35.07  197
35.76  209
35.85  212
62.22  185

***

Record 7
The following is a computed powder diffractogram of MgVP4O12. It was derived from a structure optimized by DFT (PBE+U), using Cu Kα, 1.54184 Å.

Cell and atoms:
```
data_MgVP4O12
_chemical_formula_sum 'Mg4 V4 P16 O48'
_cell_length_a 12.0105
_cell_length_b 8.4237
_cell_length_c 10.2383
_cell_angle_alpha 90.00
_cell_angle_beta 118.88
_cell_angle_gamma 90.00
_symmetry_space_group_name_H-M 'C 1 2/c 1'
_symmetry_Int_Tables_number 15
loop_
_symmetry_equiv_pos_as_xyz
'x,y,z'
'-x,-y,-z'
'-x,y,-z+1/2'
'x,-y,z+1/2'
'x+1/2,y+1/2,z'
'-x+1/2,-y+1/2,-z'
'-x+1/2,y+1/2,-z+1/2'
'x+1/2,-y+1/2,z+1/2'
loop_
_atom_site_label
_atom_site_type_symbol
_atom_site_fract_x
_atom_site_fract_y
_atom_site_fract_z
Mg1 Mg 0.0000 0.0438 0.2500
V1 V 0.2500 0.2500 0.5000
P1 P 0.0097 0.2621 0.9793
P2 P 0.1951 0.4926 0.1934
O1 O 0.0313 0.1257 0.9037
O2 O 0.0453 0.2337 0.4162
O3 O 0.0770 0.3886 0.6459
O4 O 0.1418 0.3561 0.0671
O5 O 0.2014 0.0766 0.3251
O6 O 0.2288 0.4280 0.3422
```

The 10 most intense peaks (10° ≤ 2θ ≤ 90°), low angle first:
Position (°2θ)  I/Imax
14.10  332
18.81  280
20.33  284
24.73  264
27.13  236
27.56  234
29.09  1000
30.34  213
34.10  217
36.93  205

***

Record 8
The following is a computed powder diffractogram of Ba2LiVP2O9. It was derived from a structure optimized by DFT (PBE+U), using Cu Kα, 1.54184 Å.

Cell and atoms:
```
data_Ba2LiVP2O9
_chemical_formula_sum 'Ba8 Li4 V4 P8 O36'
_cell_length_a 18.2716
_cell_length_b 5.3938
_cell_length_c 9.7651
_cell_angle_alpha 90.00
_cell_angle_beta 109.91
_cell_angle_gamma 90.00
_symmetry_space_group_name_H-M 'C 1 c 1'
_symmetry_Int_Tables_number 9
loop_
_symmetry_equiv_pos_as_xyz
'x,y,z'
'x,-y,z+1/2'
'x+1/2,y+1/2,z'
'x+1/2,-y+1/2,z+1/2'
loop_
_atom_site_label
_atom_site_type_symbol
_atom_site_fract_x
_atom_site_fract_y
_atom_site_fract_z
Ba1 Ba 0.0000 0.0087 0.0000
Ba2 Ba 0.1668 0.4913 0.3362
Li1 Li 0.3420 0.4422 0.6103
V1 V 0.3320 0.0563 0.9225
P1 P 0.2012 0.0280 0.0959
P2 P 0.4621 0.0325 0.7468
O1 O 0.0236 0.2507 0.2711
O2 O 0.1413 0.2508 0.0694
O3 O 0.1638 0.2192 0.6160
O4 O 0.2268 0.0013 0.9595
O5 O 0.2740 0.1025 0.2299
O6 O 0.3324 0.3967 0.9379
O7 O 0.3893 0.1228 0.6135
O8 O 0.4376 0.0149 0.8846
O9 O 0.4937 0.2202 0.2203
```

The 10 most intense peaks (10° ≤ 2θ ≤ 90°), low angle first:
Position (°2θ)  I/Imax
20.68  280
22.65  787
24.64  1000
26.20  238
27.32  321
31.24  418
31.42  308
33.26  564
36.93  330
41.35  271

***

Copy entry 1 word for word.
The following is a computed powder diffractogram of Li3MnSiBO7. It was derived from a structure optimized by DFT (PBE+U), using Cu Kα, 1.54184 Å.

Cell and atoms:
```
data_Li3MnSiBO7
_chemical_formula_sum 'Li6 Mn2 Si2 B2 O14'
_cell_length_a 5.0786
_cell_length_b 6.2795
_cell_length_c 8.3388
_cell_angle_alpha 90.00
_cell_angle_beta 95.61
_cell_angle_gamma 90.00
_symmetry_space_group_name_H-M 'P 1 21/m 1'
_symmetry_Int_Tables_number 11
loop_
_symmetry_equiv_pos_as_xyz
'x,y,z'
'-x,-y,-z'
'-x,y+1/2,-z'
'x,-y+1/2,z'
loop_
_atom_site_label
_atom_site_type_symbol
_atom_site_fract_x
_atom_site_fract_y
_atom_site_fract_z
Li1 Li 0.2416 0.2500 0.1040
Li2 Li 0.2509 0.0003 0.7523
Mn1 Mn 0.2039 0.7500 0.3191
Si1 Si 0.2735 0.2500 0.4284
B1 B 0.2891 0.7500 0.0398
O1 O 0.0334 0.7500 0.0896
O2 O 0.1341 0.2500 0.5958
O3 O 0.1805 0.0541 0.3036
O4 O 0.3576 0.7500 0.8883
O5 O 0.4032 0.7500 0.5256
O6 O 0.4784 0.7500 0.1754
```

The 10 most intense peaks (10° ≤ 2θ ≤ 90°), low angle first:
Position (°2θ)  I/Imax
10.66  886
17.71  658
19.65  507
21.46  647
25.77  281
26.42  422
28.43  1000
35.49  295
36.13  255
41.29  207

***

Repeat the fifth record exactly.
The following is a computed powder diffractogram of Li4Cr3Cu3Te2O16. It was derived from a structure optimized by DFT (PBE+U), using Cu Kα, 1.54184 Å.

Cell and atoms:
```
data_Li4Cr3Cu3Te2O16
_chemical_formula_sum 'Li8 Cr6 Cu6 Te4 O32'
_cell_length_a 10.3983
_cell_length_b 5.8793
_cell_length_c 9.7665
_cell_angle_alpha 90.00
_cell_angle_beta 93.21
_cell_angle_gamma 90.00
_symmetry_space_group_name_H-M 'C 1 m 1'
_symmetry_Int_Tables_number 8
loop_
_symmetry_equiv_pos_as_xyz
'x,y,z'
'x,-y,z'
'x+1/2,y+1/2,z'
'x+1/2,-y+1/2,z'
loop_
_atom_site_label
_atom_site_type_symbol
_atom_site_fract_x
_atom_site_fract_y
_atom_site_fract_z
Li1 Li 0.0000 0.0000 0.0000
Li2 Li 0.0060 0.0000 0.5073
Li3 Li 0.1621 0.5000 0.9340
Li4 Li 0.3400 0.0000 0.4342
Cr1 Cr 0.0905 0.2541 0.2328
Cr2 Cr 0.1766 0.0000 0.7345
Cu1 Cu 0.3358 0.5000 0.2313
Cu2 Cu 0.4215 0.2456 0.7297
Te1 Te 0.1778 0.5000 0.5029
Te2 Te 0.3325 0.0000 0.0046
O1 O 0.0063 0.0000 0.3202
O2 O 0.0059 0.0000 0.8118
O3 O 0.0253 0.5000 0.3620
O4 O 0.1007 0.2569 0.6051
O5 O 0.1690 0.5000 0.1343
O6 O 0.1735 0.0000 0.1192
O7 O 0.2426 0.2725 0.3713
O8 O 0.2460 0.2198 0.8806
O9 O 0.3374 0.0000 0.6397
O10 O 0.3446 0.5000 0.6054
O11 O 0.4207 0.2461 0.1082
O12 O 0.4751 0.0000 0.8744
```

The 10 most intense peaks (10° ≤ 2θ ≤ 90°), low angle first:
Position (°2θ)  I/Imax
18.91  264
19.37  658
19.82  1000
24.88  206
32.22  253
33.06  227
34.50  384
35.66  283
36.05  496
62.26  300